Structure and simulated powder diffraction line list of PrCuTe2O8 (the GGA-PBE geometry in Alexandria; Cu Kα (λ = 1.5418 Å)).
Kinematic intensities with the Lorentz-polarization factor, no thermal factor.

Peak list (6 most intense, 2θ = 10–90°, sorted by position)
| Position (°2θ) | I/Imax | index |
| --- | --- | --- |
| 24.08 | 100 | 2 0 0 |
| 31.18 | 84 | 1 1 2 |
| 34.32 | 23 | 2 2 0 |
| 47.04 | 65 | 3 1 2 |
| 49.32 | 17 | 4 0 0 |
| 59.51 | 19 | 3 3 2 |

Structural model:
```
data_PrCuTe2O8
_cell_length_a 7.3905
_cell_length_b 7.3905
_cell_length_c 6.8630
_cell_angle_alpha 90.00
_cell_angle_beta 90.00
_cell_angle_gamma 90.00
_symmetry_space_group_name_H-M 'I -4 m 2'
_symmetry_Int_Tables_number 119
_symmetry_space_group_name_Hall 'I -4 -2'
loop_
_atom_site_label
_atom_site_type_symbol
_atom_site_fract_x
_atom_site_fract_y
_atom_site_fract_z
Pr1 Pr 0.0000 0.0000 0.0000
Cu1 Cu 0.0000 0.5000 0.7500
Te1 Te 0.0000 0.0000 0.5000
Te2 Te 0.0000 0.5000 0.2500
O1 O 0.0000 0.1942 0.6797
O2 O 0.0000 0.3111 0.0779
```

Structure and simulated powder diffraction line list of ErIn2Pb (the GGA-PBE geometry in Alexandria; Cu Kα (λ = 1.5418 Å)).
Kinematic intensities with the Lorentz-polarization factor, no thermal factor.

Peak list (6 most intense, 2θ = 10–90°, sorted by position)
| Position (°2θ) | I/Imax | index |
| --- | --- | --- |
| 31.14 | 100 | 0 2 2 |
| 31.85 | 29 | 2 1 1 |
| 34.04 | 47 | 0 1 3 |
| 35.14 | 88 | 2 0 2 |
| 36.00 | 89 | 2 2 0 |
| 55.86 | 39 | 2 3 3 |

Structural model:
```
data_ErIn2Pb
_cell_length_a 6.4422
_cell_length_b 7.8882
_cell_length_c 8.3821
_cell_angle_alpha 90.00
_cell_angle_beta 90.00
_cell_angle_gamma 90.00
_symmetry_space_group_name_H-M 'I m m a'
_symmetry_Int_Tables_number 74
_symmetry_space_group_name_Hall '-I 2b 2'
loop_
_atom_site_label
_atom_site_type_symbol
_atom_site_fract_x
_atom_site_fract_y
_atom_site_fract_z
Er1 Er 0.0000 0.2500 0.0533
In1 In 0.2500 0.0524 0.7500
Pb1 Pb 0.0000 0.2500 0.4535
```

Structure and simulated powder diffraction line list of Pu2Ge4PtRh3 (the GGA-PBE geometry in Alexandria; Cu Kα (λ = 1.5418 Å)).
Kinematic intensities with the Lorentz-polarization factor, no thermal factor.

Peak list (6 most intense, 2θ = 10–90°, sorted by position)
| Position (°2θ) | I/Imax | index |
| --- | --- | --- |
| 33.63 | 58 | 1 0 3 |
| 34.82 | 100 | 1 1 2 |
| 43.03 | 51 | 2 0 0 |
| 49.10 | 25 | 1 0 5 |
| 55.69 | 28 | 2 1 3 |
| 73.56 | 27 | 3 1 2 |

Structural model:
```
data_Pu2Ge4PtRh3
_cell_length_a 4.2039
_cell_length_b 4.2039
_cell_length_c 10.3378
_cell_angle_alpha 90.00
_cell_angle_beta 90.00
_cell_angle_gamma 90.00
_symmetry_space_group_name_H-M 'P -4 m 2'
_symmetry_Int_Tables_number 115
loop_
_symmetry_equiv_pos_as_xyz
'x,y,z'
'y,-x,-z'
'-x,-y,z'
'-y,x,-z'
'-x,y,z'
'-y,-x,-z'
'x,-y,z'
'y,x,-z'
loop_
_atom_site_label
_atom_site_type_symbol
_atom_site_fract_x
_atom_site_fract_y
_atom_site_fract_z
Pu1 Pu 0.0000 0.5000 0.2420
Ge1 Ge 0.0000 0.0000 0.0000
Ge2 Ge 0.0000 0.5000 0.6372
Ge3 Ge 0.5000 0.5000 0.0000
Pt1 Pt 0.0000 0.0000 0.5000
Rh1 Rh 0.0000 0.5000 0.8717
Rh2 Rh 0.5000 0.5000 0.5000
```

Structure and simulated powder diffraction line list of CaSnP2O7 (the GGA-PBE geometry in Alexandria; Cu Kα (λ = 1.5418 Å)).
Kinematic intensities with the Lorentz-polarization factor, no thermal factor.

Peak list (6 most intense, 2θ = 10–90°, sorted by position)
| Position (°2θ) | I/Imax | index |
| --- | --- | --- |
| 19.39 | 37 | 1 -1 0 |
| 25.62 | 54 | 1 0 2 |
| 28.04 | 26 | 1 1 2 |
| 29.37 | 51 | 1 2 0 |
| 29.50 | 100 | 1 -2 0 |
| 30.86 | 21 | 0 1 -2 |

Structural model:
```
data_CaSnP2O7
_cell_length_a 6.5659
_cell_length_b 7.0236
_cell_length_c 7.0551
_cell_angle_alpha 86.96
_cell_angle_beta 67.27
_cell_angle_gamma 88.57
_symmetry_space_group_name_H-M 'P -1'
_symmetry_Int_Tables_number 2
loop_
_symmetry_equiv_pos_as_xyz
'x,y,z'
'-x,-y,-z'
loop_
_atom_site_label
_atom_site_type_symbol
_atom_site_fract_x
_atom_site_fract_y
_atom_site_fract_z
Ca1 Ca 0.1865 0.3644 0.2953
Sn1 Sn 0.2405 0.8492 0.8881
P1 P 0.2769 0.3954 0.7655
P2 P 0.3184 0.8517 0.3354
O1 O 0.1404 0.3155 0.9842
O2 O 0.1409 0.8342 0.5507
O3 O 0.1454 0.4326 0.6312
O4 O 0.2806 0.7261 0.1787
O5 O 0.3750 0.0598 0.2514
O6 O 0.4096 0.5723 0.7772
O7 O 0.4541 0.2332 0.6472
```

Structure and simulated powder diffraction line list of MoPd3Se6 (the GGA-PBE geometry in Alexandria; Cu Kα (λ = 1.5418 Å)).
Kinematic intensities with the Lorentz-polarization factor, no thermal factor.

Peak list (6 most intense, 2θ = 10–90°, sorted by position)
| Position (°2θ) | I/Imax | index |
| --- | --- | --- |
| 20.42 | 53 | 0 0 3 |
| 23.40 | 46 | 2 0 2 |
| 26.11 | 66 | 3 -1 1 |
| 37.30 | 66 | 4 -1 2 |
| 37.52 | 93 | 3 -1 4 |
| 44.38 | 100 | 4 1 0 |

Structural model:
```
data_MoPd3Se6
_cell_length_a 10.8013
_cell_length_b 10.8013
_cell_length_c 13.0460
_cell_angle_alpha 90.00
_cell_angle_beta 90.00
_cell_angle_gamma 120.00
_symmetry_space_group_name_H-M 'R -3'
_symmetry_Int_Tables_number 148
_symmetry_space_group_name_Hall '-R 3'
loop_
_atom_site_label
_atom_site_type_symbol
_atom_site_fract_x
_atom_site_fract_y
_atom_site_fract_z
Mo1 Mo 0.0000 0.0000 0.0000
Mo2 Mo 0.0000 0.0000 0.5000
Pd1 Pd 0.0472 0.7887 0.2067
Se1 Se 0.0280 0.8133 0.4002
Se2 Se 0.0318 0.8386 0.8734
```

Structure and simulated powder diffraction line list of AgW2Br2 (the GGA-PBE geometry in Alexandria; Cu Kα (λ = 1.5418 Å)).
Kinematic intensities with the Lorentz-polarization factor, no thermal factor.

Peak list (6 most intense, 2θ = 10–90°, sorted by position)
| Position (°2θ) | I/Imax | index |
| --- | --- | --- |
| 10.14 | 99 | 0 0 2 |
| 20.36 | 44 | 0 0 4 |
| 36.59 | 100 | 1 1 2 |
| 40.88 | 48 | 1 1 4 |
| 47.31 | 31 | 1 1 6 |
| 50.43 | 32 | 2 0 0 |

Structural model:
```
data_AgW2Br2
_cell_length_a 3.6193
_cell_length_b 3.6193
_cell_length_c 17.4491
_cell_angle_alpha 90.00
_cell_angle_beta 90.00
_cell_angle_gamma 90.00
_symmetry_space_group_name_H-M 'I 4/m m m'
_symmetry_Int_Tables_number 139
_symmetry_space_group_name_Hall '-I 4 2'
loop_
_atom_site_label
_atom_site_type_symbol
_atom_site_fract_x
_atom_site_fract_y
_atom_site_fract_z
Ag1 Ag 0.0000 0.0000 0.0000
W1 W 0.0000 0.5000 0.2500
Br1 Br 0.0000 0.0000 0.3875
```

Structure and simulated powder diffraction line list of Ca3Ag5Hg2 (the GGA-PBE geometry in Alexandria; Cu Kα (λ = 1.5418 Å)).
Kinematic intensities with the Lorentz-polarization factor, no thermal factor.

Peak list (6 most intense, 2θ = 10–90°, sorted by position)
| Position (°2θ) | I/Imax | index |
| --- | --- | --- |
| 18.56 | 51 | 1 0 1 |
| 23.54 | 67 | 0 1 1 |
| 35.41 | 82 | 1 1 2 |
| 36.56 | 100 | 2 1 -2 |
| 37.10 | 37 | 3 0 0 |
| 41.57 | 38 | 0 2 0 |

Structural model:
```
data_Ca3Ag5Hg2
_cell_length_a 7.4484
_cell_length_b 4.3447
_cell_length_c 7.8521
_cell_angle_alpha 90.00
_cell_angle_beta 102.58
_cell_angle_gamma 90.00
_symmetry_space_group_name_H-M 'P 1 2/m 1'
_symmetry_Int_Tables_number 10
loop_
_symmetry_equiv_pos_as_xyz
'x,y,z'
'-x,-y,-z'
'-x,y,-z'
'x,-y,z'
loop_
_atom_site_label
_atom_site_type_symbol
_atom_site_fract_x
_atom_site_fract_y
_atom_site_fract_z
Ca1 Ca 0.0000 0.0000 0.0000
Ca2 Ca 0.3342 0.5000 0.6490
Ag1 Ag 0.0000 0.0000 0.5000
Ag2 Ag 0.0646 0.5000 0.2878
Ag3 Ag 0.3402 0.0000 0.3505
Hg1 Hg 0.3143 0.5000 0.0435
```

Structure and simulated powder diffraction line list of Sr4LiY2Ru2O12 (the GGA-PBE geometry in Alexandria; Cu Kα (λ = 1.5418 Å)).
Kinematic intensities with the Lorentz-polarization factor, no thermal factor.

Peak list (6 most intense, 2θ = 10–90°, sorted by position)
| Position (°2θ) | I/Imax | index |
| --- | --- | --- |
| 29.59 | 42 | 0 2 0 |
| 29.75 | 45 | 1 1 2 |
| 30.53 | 100 | 1 -1 2 |
| 30.86 | 52 | 1 1 -2 |
| 31.17 | 55 | 2 0 0 |
| 43.61 | 30 | 0 0 4 |

Structural model:
```
data_Sr4LiY2Ru2O12
_cell_length_a 5.7433
_cell_length_b 6.0408
_cell_length_c 8.3063
_cell_angle_alpha 88.38
_cell_angle_beta 88.69
_cell_angle_gamma 89.18
_symmetry_space_group_name_H-M 'P 1'
_symmetry_Int_Tables_number 1
loop_
_symmetry_equiv_pos_as_xyz
'x,y,z'
loop_
_atom_site_label
_atom_site_type_symbol
_atom_site_fract_x
_atom_site_fract_y
_atom_site_fract_z
Sr1 Sr 0.0000 0.0000 0.0000
Sr2 Sr 0.0497 0.1527 0.5299
Sr3 Sr 0.4721 0.6085 0.4961
Sr4 Sr 0.5274 0.5049 0.9903
Li1 Li 0.8618 0.8497 0.3882
Y1 Y 0.0087 0.5209 0.2324
Y2 Y 0.5216 0.0580 0.7498
Ru1 Ru 0.0134 0.5691 0.7474
Ru2 Ru 0.4988 0.0485 0.2471
O1 O 0.0933 0.5742 0.9793
O2 O 0.2062 0.8646 0.2952
O3 O 0.2106 0.8395 0.7081
O4 O 0.2944 0.3656 0.7085
O5 O 0.3179 0.3236 0.2979
O6 O 0.4292 0.0782 0.0151
O7 O 0.6089 0.0176 0.4817
O8 O 0.6961 0.7660 0.2072
O9 O 0.7422 0.7615 0.7944
O10 O 0.7826 0.2366 0.2040
O11 O 0.8211 0.2909 0.7869
O12 O 0.9325 0.5614 0.5061
```

Structure and simulated powder diffraction line list of Th4PbAu (the GGA-PBE geometry in Alexandria; Cu Kα (λ = 1.5418 Å)).
Kinematic intensities with the Lorentz-polarization factor, no thermal factor.

Peak list (6 most intense, 2θ = 10–90°, sorted by position)
| Position (°2θ) | I/Imax | index |
| --- | --- | --- |
| 29.83 | 100 | 2 1 1 |
| 33.52 | 37 | 1 1 2 |
| 37.06 | 48 | 3 1 0 |
| 37.51 | 31 | 2 0 2 |
| 52.00 | 22 | 2 1 3 |
| 59.31 | 24 | 3 3 2 |

Structural model:
```
data_Th4PbAu
_cell_length_a 7.6701
_cell_length_b 7.6701
_cell_length_c 6.1451
_cell_angle_alpha 90.00
_cell_angle_beta 90.00
_cell_angle_gamma 90.00
_symmetry_space_group_name_H-M 'P 4/m c c'
_symmetry_Int_Tables_number 124
_symmetry_space_group_name_Hall '-P 4 2c'
loop_
_atom_site_label
_atom_site_type_symbol
_atom_site_fract_x
_atom_site_fract_y
_atom_site_fract_z
Th1 Th 0.1461 0.3369 0.0000
Pb1 Pb 0.5000 0.5000 0.2500
Au1 Au 0.0000 0.0000 0.2500
```

Structure and simulated powder diffraction line list of Ce2PrTh6 (the GGA-PBE geometry in Alexandria; Cu Kα (λ = 1.5418 Å)).
Kinematic intensities with the Lorentz-polarization factor, no thermal factor.

Peak list (6 most intense, 2θ = 10–90°, sorted by position)
| Position (°2θ) | I/Imax | index |
| --- | --- | --- |
| 29.35 | 57 | 1 0 0 |
| 29.77 | 64 | 0 0 9 |
| 32.26 | 88 | 1 0 4 |
| 33.81 | 100 | 1 0 5 |
| 52.05 | 44 | 1 1 0 |
| 61.12 | 52 | 1 1 9 |

Structural model:
```
data_Ce2PrTh6
_cell_length_a 3.5140
_cell_length_b 3.5140
_cell_length_c 27.0131
_cell_angle_alpha 90.00
_cell_angle_beta 90.00
_cell_angle_gamma 120.00
_symmetry_space_group_name_H-M 'P -6 m 2'
_symmetry_Int_Tables_number 187
_symmetry_space_group_name_Hall 'P -6 2'
loop_
_atom_site_label
_atom_site_type_symbol
_atom_site_fract_x
_atom_site_fract_y
_atom_site_fract_z
Ce1 Ce 0.0000 0.0000 0.1693
Pr1 Pr 0.3333 0.6667 0.5000
Th1 Th 0.0000 0.0000 0.3858
Th2 Th 0.3333 0.6667 0.0616
Th3 Th 0.3333 0.6667 0.2767
```

Structure and simulated powder diffraction line list of Ac2La5Tm2 (the GGA-PBE geometry in Alexandria; Cu Kα (λ = 1.5418 Å)).
Kinematic intensities with the Lorentz-polarization factor, no thermal factor.

Peak list (6 most intense, 2θ = 10–90°, sorted by position)
| Position (°2θ) | I/Imax | index |
| --- | --- | --- |
| 29.18 | 100 | 2 0 1 |
| 29.35 | 98 | 0 1 -2 |
| 33.67 | 35 | 1 -2 0 |
| 33.99 | 33 | 2 1 -1 |
| 34.10 | 33 | 1 1 3 |
| 48.60 | 37 | 1 3 -1 |

Structural model:
```
data_Ac2La5Tm2
_cell_length_a 6.4838
_cell_length_b 6.5100
_cell_length_c 8.2973
_cell_angle_alpha 74.99
_cell_angle_beta 82.46
_cell_angle_gamma 80.69
_symmetry_space_group_name_H-M 'P -1'
_symmetry_Int_Tables_number 2
loop_
_symmetry_equiv_pos_as_xyz
'x,y,z'
'-x,-y,-z'
loop_
_atom_site_label
_atom_site_type_symbol
_atom_site_fract_x
_atom_site_fract_y
_atom_site_fract_z
Ac1 Ac 0.0570 0.2795 0.3812
La1 La 0.1729 0.8315 0.1577
La2 La 0.3901 0.9474 0.7312
La3 La 0.5000 0.5000 0.5000
Tm1 Tm 0.2815 0.3938 0.9440
```

Structure and simulated powder diffraction line list of BaUMnS6 (the GGA-PBE geometry in Alexandria; Cu Kα (λ = 1.5418 Å)).
Kinematic intensities with the Lorentz-polarization factor, no thermal factor.

Peak list (6 most intense, 2θ = 10–90°, sorted by position)
| Position (°2θ) | I/Imax | index |
| --- | --- | --- |
| 15.86 | 31 | 1 0 1 |
| 19.79 | 100 | 1 1 0 |
| 26.66 | 68 | 1 0 3 |
| 39.14 | 72 | 2 1 3 |
| 40.20 | 26 | 2 2 0 |
| 48.89 | 25 | 3 0 3 |

Structural model:
```
data_BaUMnS6
_cell_length_a 6.3449
_cell_length_b 6.3449
_cell_length_c 11.8056
_cell_angle_alpha 90.00
_cell_angle_beta 90.00
_cell_angle_gamma 90.00
_symmetry_space_group_name_H-M 'P 42 n m'
_symmetry_Int_Tables_number 102
loop_
_symmetry_equiv_pos_as_xyz
'x,y,z'
'-y+1/2,x+1/2,z+1/2'
'-x,-y,z'
'y+1/2,-x+1/2,z+1/2'
'-x+1/2,y+1/2,z+1/2'
'y,x,z'
'x+1/2,-y+1/2,z+1/2'
'-y,-x,z'
loop_
_atom_site_label
_atom_site_type_symbol
_atom_site_fract_x
_atom_site_fract_y
_atom_site_fract_z
Ba1 Ba 0.0000 0.0000 0.0000
U1 U 0.0000 0.0000 0.6570
Mn1 Mn 0.0000 0.0000 0.3287
S1 S 0.1657 0.1657 0.4777
S2 S 0.2190 0.2190 0.2033
S3 S 0.2306 0.2306 0.7791
```